For NdNi2AsN, a cell relaxed with PBE gives the theoretical PXRD pattern in this record (Cu Kα, 1.54184 Å).
Intensities are scaled so that the largest is 100.

```
data_NdNi2AsN
_chemical_formula_sum 'Nd4 Ni8 As4 N4'
_cell_length_a 3.6419
_cell_length_b 11.3933
_cell_length_c 6.9390
_cell_angle_alpha 90.00
_cell_angle_beta 90.00
_cell_angle_gamma 90.00
_symmetry_space_group_name_H-M 'C m c m'
_symmetry_Int_Tables_number 63
_symmetry_space_group_name_Hall '-C 2c 2'
loop_
_atom_site_label
_atom_site_fract_x
_atom_site_fract_y
_atom_site_fract_z
Nd1 0.0000 0.0352 0.2500
Ni1 0.0000 0.3339 0.0514
As1 0.0000 0.2338 0.7500
N1 0.0000 0.5000 0.0000
```

Largest 6 diffraction maxima, in order of falling intensity, 2θ = 10–90°:
2θ = 36.60°, intensity 100; 2θ = 34.07°, intensity 63; 2θ = 52.74°, intensity 21; 2θ = 41.00°, intensity 21; 2θ = 50.09°, intensity 18; 2θ = 25.68°, intensity 17